Entry 1:
Starting from a crystal structure in the Materials Project, relaxed with PBE+U, the powder XRD pattern of Na6CoO4 was calculated for copper Kα.
Lines closer than 0.1° are merged.

Most intense lines, 10° ≤ 2θ ≤ 80°, sorted by position:
d = 7.613 Å, 11.62°, rel. 18, hkl 1 1 0; d = 4.396 Å, 20.20°, rel. 45, hkl 2 1 1; d = 3.108 Å, 28.72°, rel. 45, hkl 2 2 2; d = 2.878 Å, 31.08°, rel. 41, hkl 3 2 1; d = 2.692 Å, 33.29°, rel. 50, hkl 4 0 0; d = 2.296 Å, 39.25°, rel. 53, hkl 3 3 2; d = 2.112 Å, 42.83°, rel. 37, hkl 4 3 1; d = 1.903 Å, 47.79°, rel. 100, hkl 4 4 0; d = 1.465 Å, 63.49°, rel. 15, hkl 7 2 1; d = 1.367 Å, 68.64°, rel. 24, hkl 7 3 2

Cell and atoms:
a b c (Å): 10.7670 10.7670 10.7670
angles (deg): 90.00 90.00 90.00
Space group I-43m (No. 217)
Inequivalent atoms, fractional coordinates:
Na (0.0980, 0.3645, 0.6355) x24
Na (0.1074, 0.1074, 0.6767) x24
Co (0.1264, 0.1264, 0.1264) x8
O (0.0000, 0.0000, 0.0000) x2
O (0.0000, 0.0000, 0.5000) x6
O (0.0340, 0.2439, 0.2439) x24



Entry 2:
Starting from a crystal structure in the Materials Project, relaxed with PBE+U, the powder XRD pattern of Na8Co5O14 was calculated for copper Kα.
Lines closer than 0.1° are merged.

Most intense lines, 10° ≤ 2θ ≤ 80°, sorted by position:
d = 7.287 Å, 12.15°, rel. 56, hkl 0 1 0; d = 7.134 Å, 12.41°, rel. 46, hkl 0 1 -1; d = 6.972 Å, 12.70°, rel. 100, hkl 1 -1 0; d = 2.618 Å, 34.26°, rel. 25, hkl -3 2 1; d = 2.590 Å, 34.63°, rel. 20, hkl 0 3 -1; d = 2.552 Å, 35.16°, rel. 22, hkl 1 1 -4; d = 2.273 Å, 39.66°, rel. 51, hkl -1 2 3; d = 2.184 Å, 41.34°, rel. 59, hkl 3 1 -2; d = 2.169 Å, 41.64°, rel. 58, hkl 2 -3 3; d = 1.521 Å, 60.93°, rel. 21, hkl 5 -2 1

Cell and atoms:
a b c (Å): 8.2636 8.4659 10.3221
angles (deg): 103.75 103.29 112.55
Space group P-1 (No. 2)
Inequivalent atoms, fractional coordinates:
Na (0.0000, 0.0000, 0.0000) x1
Na (0.0580, 0.8339, 0.4879) x2
Na (0.0606, 0.6239, 0.9321) x2
Na (0.1273, 0.4847, 0.3926) x2
Na (0.2041, 0.1354, 0.3396) x2
Na (0.2091, 0.9164, 0.7972) x2
Na (0.3488, 0.8522, 0.3434) x2
Na (0.3965, 0.0256, 0.1179) x2
Na (0.5000, 0.5000, 0.5000) x1
Co (0.1100, 0.2656, 0.8389) x2
Co (0.2944, 0.5664, 0.7258) x2
Co (0.3308, 0.3947, 0.1668) x2
Co (0.3630, 0.2476, 0.6708) x2
Co (0.4662, 0.6636, 0.0287) x2
O (0.0664, 0.4110, 0.7404) x2
O (0.1071, 0.2652, 0.1887) x2
O (0.1091, 0.8570, 0.1503) x2
O (0.1287, 0.1039, 0.6904) x2
O (0.1937, 0.6679, 0.6253) x2
O (0.2370, 0.4894, 0.0285) x2
O (0.2499, 0.3566, 0.5647) x2
O (0.2908, 0.2134, 0.9838) x2
O (0.3370, 0.0678, 0.5228) x2
O (0.3533, 0.7546, 0.9098) x2
O (0.3953, 0.5992, 0.3180) x2
O (0.4273, 0.4625, 0.8522) x2
O (0.4589, 0.3033, 0.2715) x2
O (0.4790, 0.1615, 0.8082) x2



Entry 3:
Starting from a crystal structure in the Materials Project, relaxed with PBE+U, the powder XRD pattern of Na2Co2O3 was calculated for copper Kα.
Lines closer than 0.1° are merged.

Most intense lines, 10° ≤ 2θ ≤ 80°, sorted by position:
d = 3.946 Å, 22.53°, rel. 74, hkl 0 1 1; d = 3.876 Å, 22.95°, rel. 46, hkl 1 1 0; d = 2.705 Å, 33.12°, rel. 22, hkl 1 1 1; d = 2.568 Å, 34.94°, rel. 49, hkl 2 0 -2; d = 2.549 Å, 35.21°, rel. 100, hkl 1 2 -1; d = 2.426 Å, 37.05°, rel. 47, hkl 0 1 2; d = 2.362 Å, 38.10°, rel. 63, hkl 2 1 0; d = 1.894 Å, 48.05°, rel. 30, hkl 1 1 -3; d = 1.832 Å, 49.78°, rel. 35, hkl 3 1 -1; d = 1.479 Å, 62.83°, rel. 25, hkl 3 2 -3

Cell and atoms:
a b c (Å): 5.8787 5.8730 6.0717
angles (deg): 90.00 118.64 90.00
Space group P2_1/c (No. 14)
Inequivalent atoms, fractional coordinates:
Na (0.1429, 0.1529, 0.4030) x4
Co (0.3391, 0.6246, 0.5804) x4
O (0.0000, 0.0000, 0.0000) x2
O (0.3584, 0.5876, 0.2520) x4



Entry 4:
Starting from a crystal structure in the Materials Project, relaxed with PBE+U, the powder XRD pattern of Na14Co2O9 was calculated for copper Kα.
Lines closer than 0.1° are merged.

Most intense lines, 10° ≤ 2θ ≤ 80°, sorted by position:
d = 4.913 Å, 18.05°, rel. 100, hkl 1 0 1; d = 3.134 Å, 28.48°, rel. 40, hkl 0 0 3; d = 2.753 Å, 32.53°, rel. 67, hkl 0 2 1; d = 2.715 Å, 32.99°, rel. 87, hkl 1 1 2; d = 2.123 Å, 42.58°, rel. 53, hkl 3 -2 1; d = 1.922 Å, 47.28°, rel. 84, hkl 3 0 0; d = 1.918 Å, 47.41°, rel. 96, hkl 2 -1 4; d = 1.424 Å, 65.55°, rel. 16, hkl 1 3 3; d = 1.358 Å, 69.20°, rel. 19, hkl 2 2 4; d = 1.310 Å, 72.11°, rel. 21, hkl 4 0 3

Cell and atoms:
a b c (Å): 6.6596 6.6596 9.3820
angles (deg): 90.00 90.00 120.00
Space group P-3 (No. 147)
Inequivalent atoms, fractional coordinates:
Na (0.0000, 0.0000, 0.2490) x2
Na (0.0364, 0.3608, 0.5923) x6
Na (0.0651, 0.6877, 0.9068) x6
Co (0.3333, 0.6667, 0.2381) x2
O (0.0000, 0.0000, 0.5000) x1
O (0.0586, 0.6955, 0.1638) x6
O (0.3333, 0.6667, 0.4554) x2



Entry 5:
Starting from a crystal structure in the Materials Project, relaxed with PBE+U, the powder XRD pattern of Na2CoO3 was calculated for copper Kα.
Lines closer than 0.1° are merged.

Most intense lines, 10° ≤ 2θ ≤ 80°, sorted by position:
d = 5.343 Å, 16.59°, rel. 74, hkl 0 0 1; d = 4.316 Å, 20.58°, rel. 16, hkl 1 1 0; d = 3.948 Å, 22.52°, rel. 14, hkl 1 1 -1; d = 2.671 Å, 33.55°, rel. 21, hkl 0 0 2; d = 2.474 Å, 36.32°, rel. 29, hkl 1 3 -1; d = 2.461 Å, 36.51°, rel. 15, hkl 2 0 0; d = 2.198 Å, 41.07°, rel. 53, hkl 2 0 -2; d = 2.169 Å, 41.63°, rel. 100, hkl 1 3 1; d = 1.592 Å, 57.92°, rel. 29, hkl 1 3 -3; d = 1.500 Å, 61.86°, rel. 25, hkl 3 3 -1

Cell and atoms:
a b c (Å): 5.2007 8.9782 5.6452
angles (deg): 90.00 108.84 90.00
Space group C2/m (No. 12)
Inequivalent atoms, fractional coordinates:
Na (0.0000, 0.0000, 0.0000) x2
Na (0.0000, 0.1577, 0.5000) x4
Na (0.0000, 0.5000, 0.5000) x2
Co (0.0000, 0.3293, 0.0000) x4
O (0.1872, 0.5000, 0.1988) x4
O (0.2455, 0.3086, 0.8019) x8



Entry 6:
Starting from a crystal structure in the Materials Project, relaxed with PBE+U, the powder XRD pattern of Na3Co4O8 was calculated for copper Kα.
Lines closer than 0.1° are merged.

Most intense lines, 10° ≤ 2θ ≤ 80°, sorted by position:
d = 5.443 Å, 16.28°, rel. 100, hkl 0 2 0; d = 2.722 Å, 32.91°, rel. 17, hkl 0 4 0; d = 2.484 Å, 36.17°, rel. 17, hkl 1 0 2; d = 2.260 Å, 39.90°, rel. 34, hkl 1 2 2; d = 2.237 Å, 40.32°, rel. 18, hkl 0 2 4; d = 2.050 Å, 44.19°, rel. 13, hkl 1 3 2; d = 1.835 Å, 49.70°, rel. 31, hkl 1 4 2; d = 1.823 Å, 50.05°, rel. 14, hkl 0 4 4; d = 1.465 Å, 63.49°, rel. 14, hkl 1 6 2; d = 1.422 Å, 65.64°, rel. 12, hkl 1 0 6

Cell and atoms:
a b c (Å): 2.8797 10.8868 9.8156
angles (deg): 90.00 90.00 90.00
Space group Pmmn (No. 59, origin choice 2)
Inequivalent atoms, fractional coordinates:
Na (0.2500, 0.2500, 0.0082) x2
Na (0.2500, 0.7500, 0.3560) x2
Na (0.2500, 0.7500, 0.6954) x2
Co (0.2500, 0.0052, 0.3763) x4
Co (0.2500, 0.5020, 0.8741) x4
O (0.2500, 0.0858, 0.7077) x4
O (0.2500, 0.0976, 0.2080) x4
O (0.2500, 0.5884, 0.0434) x4
O (0.2500, 0.5918, 0.5371) x4